Structure and simulated powder XRD pattern of LiVF3 (a structure optimized by DFT (GGA+U); a wavelength of 1.5418 Å).

Largest 8 diffraction maxima, in order of rising 2θ, 2θ from 5° to 70°:
2θ/deg  I (rel.)
15.84  100
23.10  13
24.02  13
28.53  16
29.26  48
38.66  14
39.29  21
50.80  30

Atomic structure:
```
data_LiVF3
_space_group_name_H-M_alt 'C 1 2/c 1'
_space_group_IT_number 15
_space_group_name_Hall '-C 2yc'
_cell_length_a 12.2182
_cell_length_b 7.6993
_cell_length_c 5.8650
_cell_angle_alpha 90.00
_cell_angle_beta 113.67
_cell_angle_gamma 90.00
loop_
_atom_site_label
_atom_site_type_symbol
_atom_site_fract_x
_atom_site_fract_y
_atom_site_fract_z
_atom_site_occupancy
Li1 Li 0.0000 0.0685 0.2500 1
Li2 Li 0.0000 0.3148 0.7500 1
V1 V 0.2502 0.0871 0.6925 1
F1 F 0.0706 0.1458 0.6159 1
F2 F 0.1336 0.4537 0.9326 1
F3 F 0.1817 0.1546 0.2930 1
```